Structure and theoretical PXRD pattern of SmGeRu (a PBE-relaxed structure; a wavelength of 1.5418 Å).
Intensities are scaled so that the largest is 100.

Crystal structure
```
data_SmGeRu
_chemical_formula_sum 'Sm4 Ge4 Ru4'
_cell_length_a 7.216
_cell_length_b 4.531
_cell_length_c 7.216
_cell_angle_alpha 90.00
_cell_angle_beta 90.00
_cell_angle_gamma 90.00
_space_group_name_H-M_alt 'P n m a'
_space_group_IT_number 62
loop_
_space_group_symop_operation_xyz
'x,y,z'
'-x,-y,-z'
'-x+1/2,-y,z+1/2'
'x+1/2,y,-z+1/2'
'x+1/2,-y+1/2,-z+1/2'
'-x+1/2,y+1/2,z+1/2'
'-x,y+1/2,-z'
'x,-y+1/2,z'
loop_
_atom_site_label
_atom_site_fract_x
_atom_site_fract_y
_atom_site_fract_z
Sm1 0.021 0.250 0.188
Ge1 0.197 0.250 0.606
Ru1 0.151 0.750 0.433
```

Largest 10 diffraction maxima, by angle, 2θ = 10–80°:
(hkl)	Position (°2θ)	I (rel.)
2 1 1	34.11	100.0
2 0 2	35.18	14.1
3 0 1	39.49	30.3
0 2 0	39.79	27.6
0 1 3	42.55	21.6
2 2 2	54.14	8.2
4 1 1	56.35	9.8
3 2 1	57.30	20.2
3 1 4	68.20	16.2
2 3 1	68.60	13.0